# 1
The following is a theoretical powder X-ray diffraction pattern of MgMn12O17F7. It was derived from DFT lattice parameters and positions (GGA+U), using Cu Ka.
Peak positions follow from Bragg's law for the DFT cell and can differ from measured ones.

Peak list (8 most intense, 2θ = 10–90°, by angle)
- d 3.666, 24.28°, intensity 100
- d 3.631, 24.52°, intensity 87
- d 2.984, 29.95°, intensity 82
- d 2.970, 30.08°, intensity 65
- d 2.949, 30.31°, intensity 76
- d 2.925, 30.56°, intensity 83
- d 1.731, 52.89°, intensity 85
- d 1.717, 53.37°, intensity 58

Structural model:
Lattice parameters (Å, degrees): 4.776 5.655 15.147 91.26 90.14 90.55
Atoms (fractional coordinates):
Mg (0.000, 0.000, 0.000)
Mn (0.023, 0.397, 0.652)
Mn (0.026, 0.710, 0.164)
Mn (0.039, 0.763, 0.808)
Mn (0.050, 0.465, 0.979)
Mn (0.466, 0.887, 0.330)
Mn (0.479, 0.193, 0.501)
Mn (0.479, 0.206, 0.170)
Mn (0.491, 0.933, 0.662)
Mn (0.500, 0.970, 0.996)
Mn (0.506, 0.226, 0.827)
Mn (0.967, 0.386, 0.324)
Mn (0.991, 0.728, 0.489)
O (0.174, 0.664, 0.380)
O (0.200, 0.425, 0.218)
O (0.208, 0.445, 0.543)
O (0.237, 0.682, 0.702)
O (0.238, 0.736, 0.041)
O (0.244, 0.493, 0.872)
O (0.252, 0.928, 0.223)
O (0.263, 0.965, 0.558)
O (0.275, 0.997, 0.892)
O (0.280, 0.169, 0.723)
O (0.290, 0.214, 0.051)
O (0.688, 0.938, 0.439)
O (0.693, 0.159, 0.275)
O (0.708, 0.183, 0.603)
O (0.721, 0.959, 0.767)
O (0.730, 0.976, 0.099)
O (0.747, 0.218, 0.936)
F (0.230, 0.164, 0.397)
F (0.719, 0.425, 0.435)
F (0.727, 0.653, 0.260)
F (0.751, 0.698, 0.600)
F (0.773, 0.448, 0.764)
F (0.775, 0.747, 0.933)
F (0.806, 0.481, 0.089)


# 2
The following is a theoretical powder X-ray diffraction pattern of FeH7C3NO6. It was derived from DFT lattice parameters and positions (GGA+U), using Cu Ka.
Peak positions follow from Bragg's law for the DFT cell and can differ from measured ones.

Peak list (8 most intense, 2θ = 10–90°, by angle)
- d 6.369, 13.90°, intensity 17
- d 5.156, 17.20°, intensity 49
- d 5.094, 17.41°, intensity 100
- d 3.410, 26.13°, intensity 28
- d 2.804, 31.91°, intensity 18
- d 2.794, 32.04°, intensity 17
- d 2.769, 32.33°, intensity 19
- d 2.115, 42.75°, intensity 16

Structural model:
Lattice parameters (Å, degrees): 7.450 7.450 8.487 90.22 90.22 58.76
Atoms (fractional coordinates):
Fe (0.167, 0.167, 0.250)
Fe (0.833, 0.833, 0.750)
H (0.084, 0.916, 0.000)
H (0.087, 0.498, 0.497)
H (0.346, 0.589, 0.718)
H (0.411, 0.654, 0.282)
H (0.414, 0.435, 0.220)
H (0.502, 0.913, 0.503)
H (0.506, 0.082, 0.998)
H (0.523, 0.396, 0.843)
H (0.565, 0.586, 0.780)
H (0.584, 0.393, 0.658)
H (0.604, 0.477, 0.157)
H (0.607, 0.416, 0.342)
H (0.917, 0.083, 0.500)
H (0.918, 0.494, 0.002)
C (0.063, 0.500, 0.003)
C (0.068, 0.932, 0.500)
C (0.500, 0.937, 0.997)
C (0.503, 0.061, 0.499)
C (0.933, 0.067, 0.000)
C (0.939, 0.497, 0.501)
N (0.503, 0.493, 0.750)
N (0.507, 0.497, 0.250)
O (0.082, 0.612, 0.901)
O (0.096, 0.800, 0.607)
O (0.200, 0.904, 0.393)
O (0.201, 0.391, 0.108)
O (0.388, 0.918, 0.099)
O (0.391, 0.197, 0.397)
O (0.609, 0.799, 0.892)
O (0.619, 0.083, 0.599)
O (0.795, 0.092, 0.899)
O (0.803, 0.609, 0.603)
O (0.908, 0.205, 0.101)
O (0.917, 0.381, 0.401)